Entry 1:
For Tl, DFT lattice parameters and positions (PBE) gives the computed XRD peak list in this record (Cu Kα).
Peak positions follow from Bragg's law for the DFT cell and can differ from measured ones.

Peak list (10 most intense, 10° ≤ 2θ ≤ 90°, sorted by position)
d 3.267, 2θ 27.3, I 86; d 3.077, 2θ 29.0, I 100; d 2.893, 2θ 30.9, I 87; d 2.795, 2θ 32.0, I 79; d 2.409, 2θ 37.3, I 53; d 2.352, 2θ 38.3, I 49; d 2.240, 2θ 40.3, I 62; d 1.897, 2θ 48.0, I 26; d 1.869, 2θ 48.7, I 27; d 1.465, 2θ 63.5, I 25

Cell and atoms:
abc: 7.761 7.635 6.540
angles: 65.87 63.86 50.27
Fractional coordinates of all 8 atoms:
Tl1 0.051 0.699 0.699
Tl2 0.197 0.553 0.197
Tl3 0.301 0.949 0.949
Tl4 0.447 0.803 0.447
Tl5 0.553 0.197 0.553
Tl6 0.699 0.051 0.051
Tl7 0.803 0.447 0.803
Tl8 0.949 0.301 0.301

Entry 2:
For Tl, DFT lattice parameters and positions (PBE) gives the computed XRD peak list in this record (Cu Kα).
Peak positions follow from Bragg's law for the DFT cell and can differ from measured ones.

Peak list (10 most intense, 10° ≤ 2θ ≤ 90°, sorted by position)
d 3.754, 2θ 23.7, I 17; d 3.247, 2θ 27.5, I 38; d 2.947, 2θ 30.3, I 13; d 2.754, 2θ 32.5, I 100; d 2.534, 2θ 35.4, I 60; d 2.384, 2θ 37.7, I 30; d 1.647, 2θ 55.8, I 21; d 1.590, 2θ 58.0, I 18; d 1.458, 2θ 63.9, I 30; d 1.443, 2θ 64.6, I 16

Cell and atoms:
abc: 11.467 11.467 3.435
angles: 90.00 90.00 120.00
Fractional coordinates of all 12 atoms:
Tl1 0.048 0.278 0.250
Tl2 0.145 0.609 0.250
Tl3 0.230 0.952 0.250
Tl4 0.278 0.230 0.750
Tl5 0.391 0.536 0.250
Tl6 0.464 0.855 0.250
Tl7 0.536 0.145 0.750
Tl8 0.609 0.464 0.750
Tl9 0.722 0.770 0.250
Tl10 0.770 0.048 0.750
Tl11 0.855 0.391 0.750
Tl12 0.952 0.722 0.750

Entry 3:
For Tl, DFT lattice parameters and positions (PBE) gives the computed XRD peak list in this record (Cu Kα).
Peak positions follow from Bragg's law for the DFT cell and can differ from measured ones.

Peak list (6 most intense, 10° ≤ 2θ ≤ 90°, sorted by position)
d 2.795, 2θ 32.0, I 100; d 1.977, 2θ 45.9, I 19; d 1.614, 2θ 57.1, I 40; d 1.398, 2θ 66.9, I 12; d 1.250, 2θ 76.1, I 17; d 1.141, 2θ 85.0, I 4

Cell and atoms:
abc: 3.424 3.424 3.424
angles: 109.47 109.47 109.47
Fractional coordinates of all 1 atoms:
Tl1 0.000 0.000 0.000

Entry 4:
For Tm5Tl3, DFT lattice parameters and positions (PBE) gives the computed XRD peak list in this record (Cu Kα).
Peak positions follow from Bragg's law for the DFT cell and can differ from measured ones.

Peak list (10 most intense, 10° ≤ 2θ ≤ 90°, sorted by position)
d 3.258, 2θ 27.4, I 21; d 2.920, 2θ 30.6, I 27; d 2.665, 2θ 33.6, I 100; d 2.631, 2θ 34.1, I 65; d 2.575, 2θ 34.8, I 29; d 2.490, 2θ 36.1, I 12; d 2.035, 2θ 44.5, I 16; d 1.840, 2θ 49.5, I 12; d 1.743, 2θ 52.5, I 29; d 1.396, 2θ 67.0, I 21

Cell and atoms:
abc: 8.920 8.920 6.516
angles: 90.00 90.00 120.00
Fractional coordinates of all 16 atoms:
Tm1 0.000 0.234 0.250
Tm2 0.000 0.766 0.750
Tm3 0.234 0.000 0.250
Tm4 0.234 0.234 0.750
Tm5 0.333 0.667 0.000
Tm6 0.333 0.667 0.500
Tm7 0.667 0.333 0.000
Tm8 0.667 0.333 0.500
Tm9 0.766 0.000 0.750
Tm10 0.766 0.766 0.250
Tl1 0.000 0.403 0.750
Tl2 0.000 0.597 0.250
Tl3 0.403 0.000 0.750
Tl4 0.403 0.403 0.250
Tl5 0.597 0.000 0.250
Tl6 0.597 0.597 0.750

Entry 5:
For Tm3Tl2, DFT lattice parameters and positions (PBE) gives the computed XRD peak list in this record (Cu Kα).
Peak positions follow from Bragg's law for the DFT cell and can differ from measured ones.

Peak list (10 most intense, 10° ≤ 2θ ≤ 90°, sorted by position)
d 2.749, 2θ 32.6, I 100; d 2.512, 2θ 35.7, I 40; d 2.171, 2θ 41.6, I 12; d 1.776, 2θ 51.5, I 14; d 1.642, 2θ 56.0, I 21; d 1.492, 2θ 62.2, I 32; d 1.375, 2θ 68.2, I 12; d 1.340, 2θ 70.2, I 10; d 1.142, 2θ 84.9, I 7; d 1.123, 2θ 86.7, I 7

Cell and atoms:
abc: 11.141 11.141 11.141
angles: 161.65 161.65 26.06
Fractional coordinates of all 5 atoms:
Tm1 0.000 0.000 0.000
Tm2 0.194 0.194 0.000
Tm3 0.806 0.806 0.000
Tl1 0.403 0.403 0.000
Tl2 0.597 0.597 0.000

Entry 6:
For Tm5Tl3, DFT lattice parameters and positions (PBE) gives the computed XRD peak list in this record (Cu Kα).
Peak positions follow from Bragg's law for the DFT cell and can differ from measured ones.

Peak list (10 most intense, 10° ≤ 2θ ≤ 90°, sorted by position)
d 2.928, 2θ 30.5, I 15; d 2.751, 2θ 32.5, I 88; d 2.732, 2θ 32.8, I 100; d 2.668, 2θ 33.6, I 27; d 2.583, 2θ 34.7, I 30; d 2.528, 2θ 35.5, I 56; d 2.061, 2θ 43.9, I 16; d 1.835, 2θ 49.7, I 18; d 1.499, 2θ 61.9, I 14; d 1.496, 2θ 62.1, I 18

Cell and atoms:
abc: 6.777 12.986 5.056
angles: 90.00 90.00 90.00
Fractional coordinates of all 16 atoms:
Tm1 0.000 0.000 0.000
Tm2 0.149 0.273 0.000
Tm3 0.161 0.605 0.500
Tm4 0.339 0.105 0.500
Tm5 0.351 0.773 0.000
Tm6 0.500 0.500 0.000
Tm7 0.649 0.227 0.000
Tm8 0.661 0.895 0.500
Tm9 0.839 0.395 0.500
Tm10 0.851 0.727 0.000
Tl1 0.000 0.500 0.000
Tl2 0.110 0.848 0.500
Tl3 0.390 0.348 0.500
Tl4 0.500 0.000 0.000
Tl5 0.610 0.652 0.500
Tl6 0.890 0.152 0.500

Entry 7:
For Tm8Tl3, DFT lattice parameters and positions (PBE) gives the computed XRD peak list in this record (Cu Kα).
Peak positions follow from Bragg's law for the DFT cell and can differ from measured ones.

Peak list (10 most intense, 10° ≤ 2θ ≤ 90°, sorted by position)
d 3.190, 2θ 28.0, I 24; d 3.129, 2θ 28.5, I 100; d 2.944, 2θ 30.4, I 41; d 2.872, 2θ 31.1, I 42; d 2.528, 2θ 35.5, I 13; d 2.164, 2θ 41.7, I 18; d 2.125, 2θ 42.5, I 49; d 2.107, 2θ 42.9, I 13; d 1.865, 2θ 48.8, I 15; d 1.595, 2θ 57.8, I 18

Cell and atoms:
abc: 7.068 7.068 7.068
angles: 88.57 88.57 88.57
Fractional coordinates of all 11 atoms:
Tm1 0.148 0.148 0.148
Tm2 0.186 0.618 0.358
Tm3 0.358 0.186 0.618
Tm4 0.382 0.642 0.814
Tm5 0.618 0.358 0.186
Tm6 0.642 0.814 0.382
Tm7 0.814 0.382 0.642
Tm8 0.852 0.852 0.852
Tl1 0.000 0.000 0.500
Tl2 0.000 0.500 0.000
Tl3 0.500 0.000 0.000

Entry 8:
For Tm2Tl3, DFT lattice parameters and positions (PBE) gives the computed XRD peak list in this record (Cu Kα).
Peak positions follow from Bragg's law for the DFT cell and can differ from measured ones.

Peak list (10 most intense, 10° ≤ 2θ ≤ 90°, sorted by position)
d 3.060, 2θ 29.2, I 42; d 2.768, 2θ 32.3, I 50; d 2.732, 2θ 32.8, I 100; d 2.688, 2θ 33.3, I 58; d 2.668, 2θ 33.6, I 18; d 2.455, 2θ 36.6, I 29; d 2.393, 2θ 37.6, I 31; d 2.333, 2θ 38.6, I 42; d 1.845, 2θ 49.4, I 27; d 1.574, 2θ 58.6, I 21

Cell and atoms:
abc: 12.427 3.690 12.193
angles: 90.00 90.00 90.00
Fractional coordinates of all 20 atoms:
Tm1 0.008 0.250 0.194
Tm2 0.188 0.250 0.585
Tm3 0.312 0.750 0.085
Tm4 0.492 0.750 0.694
Tm5 0.508 0.250 0.306
Tm6 0.688 0.250 0.915
Tm7 0.812 0.750 0.415
Tm8 0.992 0.750 0.806
Tl1 0.071 0.750 0.401
Tl2 0.129 0.250 0.969
Tl3 0.249 0.750 0.786
Tl4 0.251 0.250 0.286
Tl5 0.371 0.750 0.469
Tl6 0.429 0.250 0.901
Tl7 0.571 0.750 0.099
Tl8 0.629 0.250 0.531
Tl9 0.749 0.750 0.714
Tl10 0.751 0.250 0.214
Tl11 0.871 0.750 0.031
Tl12 0.929 0.250 0.599